Diffraction record for Al2VTc2. The XRD peak list is simulated, not measured: it uses DFT lattice parameters and positions (PBE) and Cu Kα, 1.54184 Å.

Lattice parameters (Å, degrees): 6.7168 6.7168 3.3264 90.00 90.00 90.00
Space group P4/mbm (No. 127)
Asymmetric unit:
Al: 0.1435 0.3565 0.0000 [4 per cell]
V: 0.0000 0.0000 0.5000 [2 per cell]
Tc: 0.1571 0.6571 0.5000 [4 per cell]

Top 10 peaks for 5° ≤ 2θ ≤ 70°, sorted by position:
| Position (°2θ) | I_rel | h k l |
| --- | --- | --- |
| 26.80 | 39.2 | 0 0 1 |
| 29.74 | 39.0 | 2 1 0 |
| 37.89 | 5.5 | 2 2 0 |
| 40.46 | 100.0 | 2 1 1 |
| 42.56 | 40.2 | 3 1 0 |
| 51.02 | 21.3 | 3 1 1 |
| 55.23 | 11.8 | 0 0 2 |
| 58.28 | 8.0 | 3 3 0 |
| 63.60 | 13.1 | 4 1 1 |
| 63.99 | 8.4 | 2 1 2 |